Record 1
Ba2CdRe: calculated powder diffractogram (Cu Kα, 1.54184 Å), based on the GGA-PBE geometry in Alexandria.
Lines closer than 0.1° are merged.

Structural model:
```
data_Ba2CdRe
_symmetry_space_group_name_H-M 'A m m 2'
_symmetry_Int_Tables_number 38
_symmetry_space_group_name_Hall 'A 2 -2'
_cell_length_a 4.868
_cell_length_b 4.850
_cell_length_c 12.071
_cell_angle_alpha 90.00
_cell_angle_beta 90.00
_cell_angle_gamma 90.00
loop_
_atom_site_label
_atom_site_fract_x
_atom_site_fract_y
_atom_site_fract_z
Ba1 0.000 0.000 0.000
Ba2 0.500 0.000 0.286
Cd1 0.500 0.000 0.587
Re1 0.000 0.000 0.692
```

Top 8 peaks for 2θ from 5° to 70°, sorted by position:
two_theta  I/Imax  hkl
14.68  36  0 0 2
26.98  100  1 1 1
28.83  73  0 1 3
34.32  75  1 1 3
34.98  43  1 0 4
36.93  36  2 0 0
37.07  36  0 2 0
47.51  37  2 1 3

---

Record 2
Ba3CdRh2: calculated powder diffractogram (Cu Kα, 1.54184 Å), based on the GGA-PBE geometry in Alexandria.
Lines closer than 0.1° are merged.

Structural model:
```
data_Ba3CdRh2
_symmetry_space_group_name_H-M 'P 1 21/c 1'
_symmetry_Int_Tables_number 14
_symmetry_space_group_name_Hall '-P 2ybc'
_cell_length_a 8.365
_cell_length_b 9.727
_cell_length_c 11.174
_cell_angle_alpha 90.00
_cell_angle_beta 117.99
_cell_angle_gamma 90.00
loop_
_atom_site_label
_atom_site_fract_x
_atom_site_fract_y
_atom_site_fract_z
Ba1 0.218 0.233 0.133
Ba2 0.243 0.529 0.908
Ba3 0.250 0.532 0.385
Cd1 0.311 0.730 0.673
Rh1 0.007 0.243 0.807
Rh2 0.484 0.510 0.237
```

Top 8 peaks for 2θ from 5° to 70°, sorted by position:
two_theta  I/Imax  hkl
17.98  22  0 0 2
21.88  26  1 2 0
24.10  26  2 0 0
24.53  41  1 2 -2
31.95  100  1 2 2
32.86  39  2 0 -4
36.96  39  0 4 0
37.19  68  3 2 -2

---

Record 3
BaCd4Rh: calculated powder diffractogram (Cu Kα, 1.54184 Å), based on the GGA-PBE geometry in Alexandria.
Lines closer than 0.1° are merged.

Structural model:
```
data_BaCd4Rh
_symmetry_space_group_name_H-M 'P m m a'
_symmetry_Int_Tables_number 51
_symmetry_space_group_name_Hall '-P 2a 2a'
_cell_length_a 8.781
_cell_length_b 4.462
_cell_length_c 7.802
_cell_angle_alpha 90.00
_cell_angle_beta 90.00
_cell_angle_gamma 90.00
loop_
_atom_site_label
_atom_site_fract_x
_atom_site_fract_y
_atom_site_fract_z
Ba1 0.250 0.000 0.096
Cd1 0.000 0.000 0.500
Cd2 0.063 0.500 0.796
Cd3 0.250 0.500 0.463
Rh1 0.250 0.000 0.703
```

Top 8 peaks for 2θ from 5° to 70°, sorted by position:
two_theta  I/Imax  hkl
15.19  17  1 0 1
30.78  100  2 1 1
32.14  58  1 1 2
36.02  28  1 0 3
36.82  78  2 1 2
38.55  29  3 1 1
40.43  47  0 2 0
41.12  20  4 0 0

---

What is the formula in the second record? Ba3CdRh2